(1)
Starting from a PBE-relaxed structure, the PXRD pattern of In11Hg9Bi4 was calculated for λ = 1.5418 Å (Cu Kα).
No peak broadening, texture or thermal motion is included.

Most intense lines, 10° ≤ 2θ ≤ 90°, by angle:
- 2θ = 31.9°, d 2.804, I = 100, (-1 2 2)
- 2θ = 32.5°, d 2.752, I = 51, (1 -3 3)
- 2θ = 33.5°, d 2.673, I = 42, (1 2 2)
- 2θ = 33.7°, d 2.657, I = 46, (0 1 -5)
- 2θ = 36.8°, d 2.444, I = 30, (2 0 0)
- 2θ = 42.1°, d 2.146, I = 23, (0 5 -1)

```
data_In11Hg9Bi4
_cell_length_a 4.897
_cell_length_b 11.110
_cell_length_c 13.523
_cell_angle_alpha 114.15
_cell_angle_beta 93.02
_cell_angle_gamma 90.35
_space_group_name_H-M_alt 'P -1'
_space_group_IT_number 2
loop_
_space_group_symop_operation_xyz
'x,y,z'
'-x,-y,-z'
loop_
_atom_site_label
_atom_site_type_symbol
_atom_site_fract_x
_atom_site_fract_y
_atom_site_fract_z
In1 In 0.000 0.000 0.000
In2 In 0.016 0.931 0.588
In3 In 0.029 0.320 0.659
In4 In 0.053 0.581 0.901
In5 In 0.053 0.774 0.753
In6 In 0.059 0.184 0.841
Hg1 Hg 0.000 0.500 0.500
Hg2 Hg 0.443 0.618 0.119
Hg3 Hg 0.444 0.019 0.198
Hg4 Hg 0.472 0.208 0.046
Hg5 Hg 0.477 0.876 0.368
Bi1 Bi 0.460 0.455 0.300
Bi2 Bi 0.499 0.284 0.457
```

=====

(2)
Starting from a PBE-relaxed structure, the PXRD pattern of PaIr3 was calculated for λ = 1.5418 Å (Cu Kα).
No peak broadening, texture or thermal motion is included.

Most intense lines, 10° ≤ 2θ ≤ 90°, by angle:
- 2θ = 21.8°, d 4.085, I = 1, (1 0 0)
- 2θ = 38.2°, d 2.359, I = 100, (1 1 1)
- 2θ = 44.3°, d 2.043, I = 49, (2 0 0)
- 2θ = 64.5°, d 1.444, I = 33, (2 2 0)
- 2θ = 77.5°, d 1.232, I = 39, (3 1 1)
- 2θ = 81.6°, d 1.179, I = 12, (2 2 2)

```
data_PaIr3
_cell_length_a 4.085
_cell_length_b 4.085
_cell_length_c 4.085
_cell_angle_alpha 90.00
_cell_angle_beta 90.00
_cell_angle_gamma 90.00
_space_group_name_H-M_alt 'P m -3 m'
_space_group_IT_number 221
_space_group_name_Hall '-P 4 2 3'
loop_
_atom_site_label
_atom_site_type_symbol
_atom_site_fract_x
_atom_site_fract_y
_atom_site_fract_z
Pa1 Pa 0.000 0.000 0.000
Ir1 Ir 0.000 0.500 0.500
```

=====

(3)
Starting from a PBE-relaxed structure, the PXRD pattern of Pm4Pr was calculated for λ = 1.5418 Å (Cu Kα).
No peak broadening, texture or thermal motion is included.

Most intense lines, 10° ≤ 2θ ≤ 90°, by angle:
- 2θ = 29.8°, d 2.993, I = 100, (1 0 5)
- 2θ = 34.6°, d 2.592, I = 51, (1 1 0)
- 2θ = 49.7°, d 1.833, I = 36, (2 0 0)
- 2θ = 59.1°, d 1.563, I = 43, (2 1 5)
- 2θ = 62.0°, d 1.497, I = 12, (2 0 10)
- 2θ = 80.8°, d 1.189, I = 18, (3 0 5)

```
data_Pm4Pr
_cell_length_a 3.666
_cell_length_b 3.666
_cell_length_c 25.925
_cell_angle_alpha 90.00
_cell_angle_beta 90.00
_cell_angle_gamma 90.00
_space_group_name_H-M_alt 'I 4/m m m'
_space_group_IT_number 139
_space_group_name_Hall '-I 4 2'
loop_
_atom_site_label
_atom_site_type_symbol
_atom_site_fract_x
_atom_site_fract_y
_atom_site_fract_z
Pm1 Pm 0.000 0.000 0.101
Pm2 Pm 0.000 0.000 0.300
Pr1 Pr 0.000 0.000 0.500
```

=====

(4)
Starting from a PBE-relaxed structure, the PXRD pattern of ThAl3Ag3 was calculated for λ = 1.5418 Å (Cu Kα).
No peak broadening, texture or thermal motion is included.

Most intense lines, 10° ≤ 2θ ≤ 90°, by angle:
- 2θ = 12.7°, d 6.978, I = 57, (1 1 1)
- 2θ = 20.8°, d 4.273, I = 100, (2 2 0)
- 2θ = 25.5°, d 3.489, I = 96, (2 2 2)
- 2θ = 29.6°, d 3.022, I = 55, (4 0 0)
- 2θ = 45.0°, d 2.014, I = 96, (4 4 2)
- 2θ = 47.6°, d 1.911, I = 68, (6 2 0)

```
data_ThAl3Ag3
_cell_length_a 12.086
_cell_length_b 12.086
_cell_length_c 12.086
_cell_angle_alpha 90.00
_cell_angle_beta 90.00
_cell_angle_gamma 90.00
_space_group_name_H-M_alt 'F m -3 m'
_space_group_IT_number 225
_space_group_name_Hall '-F 4 2 3'
loop_
_atom_site_label
_atom_site_type_symbol
_atom_site_fract_x
_atom_site_fract_y
_atom_site_fract_z
Th1 Th 0.250 0.250 0.250
Al1 Al 0.000 0.000 0.152
Ag1 Ag 0.000 0.000 0.342
```

=====

Copy entry 3 word for word.
Starting from a PBE-relaxed structure, the PXRD pattern of Pm4Pr was calculated for λ = 1.5418 Å (Cu Kα).
No peak broadening, texture or thermal motion is included.

Most intense lines, 10° ≤ 2θ ≤ 90°, by angle:
- 2θ = 29.8°, d 2.993, I = 100, (1 0 5)
- 2θ = 34.6°, d 2.592, I = 51, (1 1 0)
- 2θ = 49.7°, d 1.833, I = 36, (2 0 0)
- 2θ = 59.1°, d 1.563, I = 43, (2 1 5)
- 2θ = 62.0°, d 1.497, I = 12, (2 0 10)
- 2θ = 80.8°, d 1.189, I = 18, (3 0 5)

```
data_Pm4Pr
_cell_length_a 3.666
_cell_length_b 3.666
_cell_length_c 25.925
_cell_angle_alpha 90.00
_cell_angle_beta 90.00
_cell_angle_gamma 90.00
_space_group_name_H-M_alt 'I 4/m m m'
_space_group_IT_number 139
_space_group_name_Hall '-I 4 2'
loop_
_atom_site_label
_atom_site_type_symbol
_atom_site_fract_x
_atom_site_fract_y
_atom_site_fract_z
Pm1 Pm 0.000 0.000 0.101
Pm2 Pm 0.000 0.000 0.300
Pr1 Pr 0.000 0.000 0.500
```